# Ho4ThSc2
Computed X-ray diffraction stick pattern, a wavelength of 1.5418 Å. Input: a cell relaxed with PBE.
Kinematic intensities with the Lorentz-polarization factor, no thermal factor.

Structural model:
Cell lengths 5.716, 6.519, 11.462 Å; angles 90.00, 104.52, 90.00 degrees
Space group P2_1/m (No. 11)
Unique sites:
Ho: 0.036 0.250 0.168
Ho: 0.183 0.750 0.423
Ho: 0.362 0.501 0.709
Th: 0.158 0.750 0.124
Sc: 0.253 0.250 0.444
Sc: 0.408 0.250 0.999

The 10 most intense peaks (10 to 90 degrees two-theta), sorted by position:
hkl, 2theta, Rel. int.
0 0 2, 16.0, 21
1 0 -2, 19.6, 21
2 0 -1, 31.3, 40
1 2 0, 31.9, 89
1 0 3, 32.3, 100
1 2 1, 33.9, 37
1 1 -4, 35.2, 30
0 2 3, 36.8, 27
0 2 4, 42.8, 21
1 4 3, 66.6, 25